# NaCdCuSe2
Calculated powder X-ray diffraction pattern, λ = 1.5418 Å (Cu Kα). Input: a GGA-PBE-relaxed structure.
No peak broadening, texture or thermal motion is included.

Structural model:
```
data_NaCdCuSe2
_space_group_name_H-M_alt 'P 1'
_space_group_IT_number 1
_cell_length_a 7.645
_cell_length_b 4.322
_cell_length_c 18.003
_cell_angle_alpha 90.00
_cell_angle_beta 90.00
_cell_angle_gamma 90.00
loop_
_space_group_symop_operation_xyz
'x,y,z'
loop_
_atom_site_label
_atom_site_type_symbol
_atom_site_fract_x
_atom_site_fract_y
_atom_site_fract_z
_atom_site_occupancy
Na1 Na 0.189 0.250 0.090 1
Na2 Na 0.311 0.750 0.590 1
Na3 Na 0.689 0.250 0.410 1
Na4 Na 0.811 0.750 0.910 1
Cd1 Cd 0.171 0.750 0.296 1
Cd2 Cd 0.329 0.250 0.796 1
Cd3 Cd 0.671 0.750 0.204 1
Cd4 Cd 0.829 0.250 0.704 1
Cu1 Cu 0.241 0.750 0.921 1
Cu2 Cu 0.259 0.250 0.421 1
Cu3 Cu 0.741 0.750 0.579 1
Cu4 Cu 0.759 0.250 0.079 1
Se1 Se 0.144 0.250 0.926 1
Se2 Se 0.158 0.250 0.673 1
Se3 Se 0.342 0.750 0.173 1
Se4 Se 0.356 0.750 0.426 1
Se5 Se 0.644 0.250 0.574 1
Se6 Se 0.658 0.250 0.827 1
Se7 Se 0.842 0.750 0.327 1
Se8 Se 0.856 0.750 0.074 1
```

The 6 most intense peaks (10° ≤ 2θ ≤ 90°), in order of rising 2θ:
hkl	2θ/deg	d_spacing	I (rel.)
1 0 2	15.2	5.827	548
0 1 1	21.1	4.202	1000
2 0 0	23.3	3.822	547
1 1 4	31.0	2.887	421
0 2 0	41.8	2.160	575
3 1 4	46.0	1.973	410